No. 1
# DyTc4Ge2
Computed powder XRD pattern, Cu Kα (weighted mean of Kα1 and Kα2). Input: the GGA-PBE geometry in Alexandria.
Lines closer than 0.1° are merged.

Crystal structure
a b c (Å): 4.1302 14.3225 4.0911
angles (deg): 90.00 90.00 90.00
Element x y z (fractional)
Dy 0.0000 0.0000 0.0000
Dy 0.5000 0.5000 0.0000
Tc 0.0000 0.1922 0.5000
Tc 0.0000 0.3023 0.0000
Tc 0.0000 0.6977 0.0000
Tc 0.0000 0.8078 0.5000
Tc 0.5000 0.1977 0.0000
Tc 0.5000 0.3078 0.5000
Tc 0.5000 0.6922 0.5000
Tc 0.5000 0.8023 0.0000
Ge 0.0000 0.4128 0.5000
Ge 0.0000 0.5872 0.5000
Ge 0.5000 0.0872 0.5000
Ge 0.5000 0.9128 0.5000

Main lines, by intensity (15° ≤ 2θ ≤ 90°):
hkl 1 3 1, 36.2 deg, I = 100
hkl 2 0 0, 43.9 deg, I = 39
hkl 1 5 1, 44.4 deg, I = 32
hkl 0 0 2, 44.3 deg, I = 29
hkl 0 4 1, 33.3 deg, I = 19
hkl 2 0 2, 64.1 deg, I = 19
hkl 1 5 0, 38.2 deg, I = 15
hkl 1 1 1, 31.4 deg, I = 14
hkl 2 4 1, 56.1 deg, I = 12
hkl 1 7 1, 54.9 deg, I = 11
hkl 3 3 1, 75.5 deg, I = 11
hkl 1 3 3, 76.2 deg, I = 11

No. 2
# Ca2ZnNi
Computed powder XRD pattern, Cu Kα (weighted mean of Kα1 and Kα2). Input: the GGA-PBE geometry in Alexandria.
Lines closer than 0.1° are merged.

Crystal structure
a b c (Å): 5.8598 4.1777 8.3568
angles (deg): 90.00 108.98 90.00
Element x y z (fractional)
Ca 0.2000 0.2500 0.4225
Ca 0.2747 0.7500 0.0651
Ca 0.7253 0.2500 0.9349
Ca 0.8000 0.7500 0.5775
Zn 0.3463 0.7500 0.7207
Zn 0.6537 0.2500 0.2793
Ni 0.1713 0.2500 0.7778
Ni 0.8287 0.7500 0.2222

Main lines, by intensity (15° ≤ 2θ ≤ 90°):
hkl 1 1 1, 31.1 deg, I = 100
hkl 1 0 -1, 16.3 deg, I = 64
hkl 2 1 -2, 39.5 deg, I = 56
hkl 2 1 0, 39.0 deg, I = 51
hkl 1 1 -3, 39.2 deg, I = 50
hkl 1 0 3, 42.5 deg, I = 37
hkl 0 2 0, 43.3 deg, I = 36
hkl 3 1 -3, 55.2 deg, I = 34
hkl 1 0 -3, 32.5 deg, I = 32
hkl 2 0 0, 32.3 deg, I = 32
hkl 0 0 2, 22.5 deg, I = 24
hkl 1 0 1, 22.4 deg, I = 23